(1)
KHg3IrO4: simulated powder diffractogram (Cu Kα X-rays), based on a cell relaxed with PBE.
Kinematic intensities with the Lorentz-polarization factor, no thermal factor.

a = 5.6957 Å, b = 5.6957 Å, c = 5.6957 Å
α = 90.00°, β = 90.00°, γ = 90.00°
Fractional positions:
K: 0.0000 0.0000 0.0000
Hg: 0.0000 0.5000 0.5000
Hg: 0.5000 0.0000 0.5000
Hg: 0.5000 0.5000 0.0000
Ir: 0.5000 0.5000 0.5000
O: 0.2747 0.2747 0.2747
O: 0.2747 0.7253 0.7253
O: 0.7253 0.2747 0.7253
O: 0.7253 0.7253 0.2747

Top 6 peaks for 10° ≤ 2θ ≤ 90°, sorted by position:
Position (°2θ)  I/Imax
15.6  100
27.1  61
31.4  87
35.2  51
45.0  88
74.5  33

(2)
Sm2Sc2CBrCl4: simulated powder diffractogram (Cu Kα X-rays), based on a cell relaxed with PBE.
Kinematic intensities with the Lorentz-polarization factor, no thermal factor.

a = 8.5658 Å, b = 8.5658 Å, c = 8.3683 Å
α = 103.23°, β = 103.23°, γ = 24.95°
Fractional positions:
Sm: 0.0003 0.0003 0.2050
Sm: 0.9997 0.9997 0.7950
Sc: 0.3620 0.3620 0.9333
Sc: 0.6380 0.6380 0.0667
C: 0.5000 0.5000 0.0000
Br: 0.5000 0.5000 0.5000
Cl: 0.1716 0.1716 0.2900
Cl: 0.1731 0.1731 0.8696
Cl: 0.8269 0.8269 0.1304
Cl: 0.8284 0.8284 0.7100

Top 6 peaks for 10° ≤ 2θ ≤ 90°, sorted by position:
Position (°2θ)  I/Imax
10.9  100
21.9  18
24.7  14
32.3  55
33.0  29
46.6  13

(3)
SiGeP3Au: simulated powder diffractogram (Cu Kα X-rays), based on a cell relaxed with PBE.
Kinematic intensities with the Lorentz-polarization factor, no thermal factor.

a = 6.6433 Å, b = 6.6433 Å, c = 5.5330 Å
α = 114.44°, β = 114.44°, γ = 33.69°
Fractional positions:
Si: 0.0000 0.0000 0.0000
Ge: 0.3314 0.3314 0.3305
P: 0.1605 0.1605 0.3860
P: 0.4952 0.4952 0.7578
P: 0.8388 0.8388 0.0800
Au: 0.6642 0.6642 0.6593

Top 6 peaks for 10° ≤ 2θ ≤ 90°, sorted by position:
Position (°2θ)  I/Imax
15.5  41
17.8  58
28.2  100
28.4  96
32.4  50
46.9  37

(4)
Pm2ZrP3: simulated powder diffractogram (Cu Kα X-rays), based on a cell relaxed with PBE.
Kinematic intensities with the Lorentz-polarization factor, no thermal factor.

a = 3.9750 Å, b = 3.9750 Å, c = 9.8449 Å
α = 90.00°, β = 90.00°, γ = 120.00°
Fractional positions:
Pm: 0.3333 0.6667 0.3249
Pm: 0.6667 0.3333 0.6751
Zr: 0.0000 0.0000 0.0000
P: 0.0000 0.0000 0.5000
P: 0.3333 0.6667 0.8522
P: 0.6667 0.3333 0.1478

Top 6 peaks for 10° ≤ 2θ ≤ 90°, sorted by position:
Position (°2θ)  I/Imax
27.2  19
27.4  58
31.7  100
45.3  36
45.6  36
56.7  19

(5)
YOs2Au: simulated powder diffractogram (Cu Kα X-rays), based on a cell relaxed with PBE.
Kinematic intensities with the Lorentz-polarization factor, no thermal factor.

a = 4.6524 Å, b = 4.6524 Å, c = 4.6524 Å
α = 60.00°, β = 60.00°, γ = 60.00°
Fractional positions:
Y: 0.0000 0.0000 0.0000
Os: 0.5000 0.5000 0.5000
Os: 0.7500 0.7500 0.7500
Au: 0.2500 0.2500 0.2500

Top 6 peaks for 10° ≤ 2θ ≤ 90°, sorted by position:
Position (°2θ)  I/Imax
23.4  5
27.1  3
38.7  100
55.9  17
70.1  35
83.0  11

(6)
Ta2GeIr: simulated powder diffractogram (Cu Kα X-rays), based on a cell relaxed with PBE.
Kinematic intensities with the Lorentz-polarization factor, no thermal factor.

a = 4.5346 Å, b = 4.5346 Å, c = 4.5346 Å
α = 60.00°, β = 60.00°, γ = 60.00°
Fractional positions:
Ta: 0.0000 0.0000 0.0000
Ta: 0.2500 0.2500 0.2500
Ge: 0.5000 0.5000 0.5000
Ir: 0.7500 0.7500 0.7500

Top 6 peaks for 10° ≤ 2θ ≤ 90°, sorted by position:
Position (°2θ)  I/Imax
24.0  7
27.8  4
39.8  100
57.5  17
72.2  35
85.7  11

(7)
Ho2Ir5C4: simulated powder diffractogram (Cu Kα X-rays), based on a cell relaxed with PBE.
Kinematic intensities with the Lorentz-polarization factor, no thermal factor.

a = 7.5206 Å, b = 6.3094 Å, c = 5.5748 Å
α = 78.25°, β = 55.22°, γ = 46.53°
Fractional positions:
Ho: 0.1486 0.1486 0.8514
Ho: 0.8514 0.8514 0.1486
Ir: 0.0000 0.0000 0.5000
Ir: 0.2500 0.2500 0.2500
Ir: 0.5000 0.5000 0.0000
Ir: 0.5000 0.5000 0.5000
Ir: 0.7500 0.7500 0.7500
C: 0.2162 0.5242 0.4758
C: 0.4758 0.7838 0.2162
C: 0.5242 0.2162 0.7838
C: 0.7838 0.4758 0.5242

Top 6 peaks for 10° ≤ 2θ ≤ 90°, sorted by position:
Position (°2θ)  I/Imax
30.2  54
36.4  49
36.8  55
38.3  100
40.1  31
46.5  28

(8)
Sm2IBrNCl: simulated powder diffractogram (Cu Kα X-rays), based on a cell relaxed with PBE.
Kinematic intensities with the Lorentz-polarization factor, no thermal factor.

a = 9.5873 Å, b = 9.5873 Å, c = 11.7913 Å
α = 125.02°, β = 125.02°, γ = 24.05°
Fractional positions:
Sm: 0.0762 0.0762 0.4628
Sm: 0.3616 0.3616 0.2072
Sm: 0.6384 0.6384 0.7928
Sm: 0.9238 0.9238 0.5372
I: 0.4598 0.4598 0.7741
I: 0.5402 0.5402 0.2259
Br: 0.2833 0.2833 0.3710
Br: 0.7167 0.7167 0.6290
N: 0.0744 0.0744 0.6569
N: 0.9256 0.9256 0.3431
Cl: 0.1764 0.1764 0.0050
Cl: 0.8236 0.8236 0.9950

Top 6 peaks for 10° ≤ 2θ ≤ 90°, sorted by position:
Position (°2θ)  I/Imax
26.1  100
27.4  74
30.8  64
31.9  97
34.5  54
42.6  48

(9)
ErTmZn2Ge2: simulated powder diffractogram (Cu Kα X-rays), based on a cell relaxed with PBE.
Kinematic intensities with the Lorentz-polarization factor, no thermal factor.

a = 4.2152 Å, b = 4.2152 Å, c = 15.3798 Å
α = 90.00°, β = 90.00°, γ = 120.00°
Fractional positions:
Er: 0.0000 0.0000 0.0000
Er: 0.0000 0.0000 0.5000
Tm: 0.0000 0.0000 0.2500
Tm: 0.0000 0.0000 0.7500
Zn: 0.3333 0.6667 0.1490
Zn: 0.3333 0.6667 0.3510
Zn: 0.6667 0.3333 0.6490
Zn: 0.6667 0.3333 0.8510
Ge: 0.3333 0.6667 0.6132
Ge: 0.3333 0.6667 0.8868
Ge: 0.6667 0.3333 0.1132
Ge: 0.6667 0.3333 0.3868

Top 6 peaks for 10° ≤ 2θ ≤ 90°, sorted by position:
Position (°2θ)  I/Imax
24.4  18
33.9  100
42.9  47
55.7  24
65.7  17
72.8  21

(10)
Sc2SnGeAu2: simulated powder diffractogram (Cu Kα X-rays), based on a cell relaxed with PBE.
Kinematic intensities with the Lorentz-polarization factor, no thermal factor.

a = 11.0854 Å, b = 4.5269 Å, c = 11.0857 Å
α = 90.00°, β = 109.47°, γ = 90.00°
Fractional positions:
Sc: 0.0000 0.0000 0.0000
Sc: 0.1194 0.5000 0.3718
Sc: 0.2421 0.0000 0.7441
Sc: 0.3746 0.5000 0.1193
Sc: 0.5047 0.0000 0.4948
Sc: 0.6303 0.5000 0.8779
Sc: 0.7525 0.0000 0.2502
Sc: 0.8745 0.5000 0.6199
Sn: 0.2494 0.0000 0.2469
Sn: 0.3739 0.5000 0.6216
Sn: 0.5003 0.0000 0.9984
Sn: 0.7517 0.0000 0.7479
Ge: 0.1238 0.5000 0.8714
Ge: 0.6266 0.5000 0.3723
Ge: 0.8755 0.5000 0.1238
Ge: 0.9983 0.0000 0.4965
Au: 0.1191 0.5000 0.6211
Au: 0.2443 0.0000 0.9916
Au: 0.3795 0.5000 0.3713
Au: 0.4995 0.0000 0.7474
Au: 0.6308 0.5000 0.1292
Au: 0.7518 0.0000 0.4937
Au: 0.8816 0.5000 0.8772
Au: 0.9958 0.0000 0.2479

Top 6 peaks for 10° ≤ 2θ ≤ 90°, sorted by position:
Position (°2θ)  I/Imax
24.1  88
39.8  100
47.1  45
57.6  17
63.3  19
72.3  34

(11)
FeSnCl4: simulated powder diffractogram (Cu Kα X-rays), based on a cell relaxed with PBE.
Kinematic intensities with the Lorentz-polarization factor, no thermal factor.

a = 3.6924 Å, b = 3.8436 Å, c = 12.1337 Å
α = 80.94°, β = 81.77°, γ = 89.66°
Fractional positions:
Fe: 0.0000 0.0000 0.0000
Sn: 0.2920 0.9538 0.5026
Cl: 0.0499 0.5529 0.8932
Cl: 0.4465 0.9429 0.1147
Cl: 0.7184 0.1915 0.6414
Cl: 0.8482 0.3266 0.3633

Top 6 peaks for 10° ≤ 2θ ≤ 90°, sorted by position:
Position (°2θ)  I/Imax
14.9  100
23.4  34
25.8  32
29.9  45
30.5  29
30.8  35

(12)
Nd2Sm2C2I2Br2Cl: simulated powder diffractogram (Cu Kα X-rays), based on a cell relaxed with PBE.
Kinematic intensities with the Lorentz-polarization factor, no thermal factor.

a = 10.2056 Å, b = 10.2056 Å, c = 8.2344 Å
α = 103.26°, β = 103.26°, γ = 22.08°
Fractional positions:
Nd: 0.1521 0.1521 0.0997
Nd: 0.8479 0.8479 0.9003
Sm: 0.4992 0.4992 0.7964
Sm: 0.5008 0.5008 0.2036
C: 0.0359 0.0359 0.0227
C: 0.9641 0.9641 0.9773
I: 0.3338 0.3338 0.1925
I: 0.6662 0.6662 0.8075
Br: 0.3462 0.3462 0.6329
Br: 0.6538 0.6538 0.3671
Cl: 0.0000 0.0000 0.5000

Top 6 peaks for 10° ≤ 2θ ≤ 90°, sorted by position:
Position (°2θ)  I/Imax
11.1  51
27.5  75
31.6  100
32.5  29
41.9  32
42.8  44

(13)
TbSmH4: simulated powder diffractogram (Cu Kα X-rays), based on a cell relaxed with PBE.
Kinematic intensities with the Lorentz-polarization factor, no thermal factor.

a = 3.7299 Å, b = 3.7299 Å, c = 5.2791 Å
α = 90.00°, β = 90.00°, γ = 90.00°
Fractional positions:
Tb: 0.0000 0.0000 0.0000
Sm: 0.5000 0.5000 0.5000
H: 0.0000 0.5000 0.2423
H: 0.0000 0.5000 0.7577
H: 0.5000 0.0000 0.2423
H: 0.5000 0.0000 0.7577

Top 6 peaks for 10° ≤ 2θ ≤ 90°, sorted by position:
Position (°2θ)  I/Imax
29.3  100
34.0  49
48.8  38
58.0  44
79.1  18
81.6  16

(14)
Cd2HgS2: simulated powder diffractogram (Cu Kα X-rays), based on a cell relaxed with PBE.
Kinematic intensities with the Lorentz-polarization factor, no thermal factor.

a = 7.6735 Å, b = 7.6735 Å, c = 7.6735 Å
α = 123.35°, β = 72.73°, γ = 138.34°
Fractional positions:
Cd: 0.1628 0.1817 0.3445
Cd: 0.3372 0.6817 0.0190
Cd: 0.6627 0.3183 0.9810
Cd: 0.8372 0.8183 0.6555
Hg: 0.2500 0.7500 0.5000
Hg: 0.7500 0.2500 0.5000
S: 0.1472 0.8303 0.9775
S: 0.3528 0.3303 0.6831
S: 0.6472 0.6697 0.3169
S: 0.8528 0.1697 0.0225

Top 6 peaks for 10° ≤ 2θ ≤ 90°, sorted by position:
Position (°2θ)  I/Imax
14.1  53
24.8  100
28.5  52
35.9  91
37.8  40
55.4  47